Entry 1:
This entry pairs a crystal structure of Sm3TmIn3 with its simulated X-ray diffraction stick pattern. Radiation: CuKα. Structure: a crystal structure in Alexandria, relaxed with PBE.
Neutral-atom scattering factors, no anomalous dispersion.

```
data_Sm3TmIn3
_space_group_name_H-M_alt 'P 21 3'
_space_group_IT_number 198
_space_group_name_Hall 'P 2ac 2ab 3'
_cell_length_a 9.421
_cell_length_b 9.421
_cell_length_c 9.421
_cell_angle_alpha 90.00
_cell_angle_beta 90.00
_cell_angle_gamma 90.00
loop_
_atom_site_label
_atom_site_type_symbol
_atom_site_fract_x
_atom_site_fract_y
_atom_site_fract_z
Sm1 Sm 0.068 0.432 0.568
Sm2 Sm 0.170 0.830 0.330
Sm3 Sm 0.177 0.177 0.177
Tm1 Tm 0.078 0.578 0.922
In1 In 0.005 0.257 0.868
```

Main lines, in order of rising 2θ (2θ = 10–80°):
h k l, d_spacing, two_theta, I_rel
3 0 1, 2.979, 30.0, 100
3 1 2, 2.518, 35.7, 74
4 2 0, 2.107, 42.9, 10
3 3 2, 2.008, 45.1, 7
4 2 2, 1.923, 47.3, 20
4 3 1, 1.848, 49.3, 22
6 1 1, 1.528, 60.6, 25
6 0 2, 1.490, 62.3, 12
5 4 1, 1.454, 64.1, 15
5 5 2, 1.282, 73.9, 12

Entry 2:
This entry pairs a crystal structure of Rb2Tl9Rh3 with its simulated X-ray diffraction stick pattern. Radiation: CuKα. Structure: a crystal structure in Alexandria, relaxed with PBE.
Neutral-atom scattering factors, no anomalous dispersion.

```
data_Rb2Tl9Rh3
_space_group_name_H-M_alt 'C 1 2/c 1'
_space_group_IT_number 15
_space_group_name_Hall '-C 2yc'
_cell_length_a 15.366
_cell_length_b 8.625
_cell_length_c 12.286
_cell_angle_alpha 90.00
_cell_angle_beta 115.75
_cell_angle_gamma 90.00
loop_
_atom_site_label
_atom_site_type_symbol
_atom_site_fract_x
_atom_site_fract_y
_atom_site_fract_z
Rb1 Rb 0.174 0.083 0.247
Tl1 Tl 0.000 0.338 0.250
Tl2 Tl 0.059 0.062 0.922
Tl3 Tl 0.099 0.406 0.041
Tl4 Tl 0.113 0.302 0.747
Tl5 Tl 0.227 0.414 0.431
Rh1 Rh 0.083 0.257 0.500
Rh2 Rh 0.250 0.250 0.000
```

Main lines, in order of rising 2θ (2θ = 10–80°):
h k l, d_spacing, two_theta, I_rel
0 0 2, 5.535, 16.0, 18
3 1 -4, 2.851, 31.4, 62
1 3 0, 2.814, 31.8, 25
3 1 2, 2.804, 31.9, 100
0 0 4, 2.768, 32.3, 29
6 0 -2, 2.561, 35.0, 47
3 3 -1, 2.507, 35.8, 95
0 2 4, 2.327, 38.7, 19
6 4 -5, 1.513, 61.2, 23
6 4 1, 1.498, 61.9, 20

Entry 3:
This entry pairs a crystal structure of Hf6MoOs with its simulated X-ray diffraction stick pattern. Radiation: CuKα. Structure: a crystal structure in Alexandria, relaxed with PBE.
Neutral-atom scattering factors, no anomalous dispersion.

```
data_Hf6MoOs
_space_group_name_H-M_alt 'I 4/m m m'
_space_group_IT_number 139
_space_group_name_Hall '-I 4 2'
_cell_length_a 4.677
_cell_length_b 4.677
_cell_length_c 14.655
_cell_angle_alpha 90.00
_cell_angle_beta 90.00
_cell_angle_gamma 90.00
loop_
_atom_site_label
_atom_site_type_symbol
_atom_site_fract_x
_atom_site_fract_y
_atom_site_fract_z
Hf1 Hf 0.000 0.000 0.247
Hf2 Hf 0.000 0.500 0.108
Mo1 Mo 0.000 0.000 0.000
Os1 Os 0.000 0.000 0.500
```

Main lines, in order of rising 2θ (2θ = 10–80°):
h k l, d_spacing, two_theta, I_rel
1 1 2, 3.014, 29.6, 5
1 1 4, 2.455, 36.6, 100
2 0 0, 2.339, 38.5, 48
0 0 8, 1.832, 49.8, 8
2 0 6, 1.689, 54.3, 5
2 2 0, 1.654, 55.6, 17
2 0 8, 1.442, 64.6, 14
3 1 4, 1.371, 68.4, 33
1 1 10, 1.340, 70.3, 4
2 2 8, 1.227, 77.8, 8

Entry 4:
This entry pairs a crystal structure of Ce2TmTh3Te6 with its simulated X-ray diffraction stick pattern. Radiation: CuKα. Structure: a crystal structure in Alexandria, relaxed with PBE.
Neutral-atom scattering factors, no anomalous dispersion.

```
data_Ce2TmTh3Te6
_space_group_name_H-M_alt 'C 1 2/m 1'
_space_group_IT_number 12
_space_group_name_Hall '-C 2y'
_cell_length_a 19.725
_cell_length_b 4.331
_cell_length_c 9.116
_cell_angle_alpha 90.00
_cell_angle_beta 107.55
_cell_angle_gamma 90.00
loop_
_atom_site_label
_atom_site_type_symbol
_atom_site_fract_x
_atom_site_fract_y
_atom_site_fract_z
Ce1 Ce 0.167 0.000 0.333
Tm1 Tm 0.000 0.500 0.000
Th1 Th 0.000 0.500 0.500
Th2 Th 0.170 0.000 0.833
Te1 Te 0.001 0.000 0.763
Te2 Te 0.161 0.500 0.080
Te3 Te 0.167 0.500 0.579
```

Main lines, in order of rising 2θ (2θ = 10–80°):
h k l, d_spacing, two_theta, I_rel
1 1 -2, 3.135, 28.5, 100
7 1 -2, 2.275, 39.6, 41
0 2 0, 2.163, 41.8, 36
8 0 -4, 1.908, 47.7, 8
6 2 0, 1.781, 51.3, 20
2 2 -4, 1.568, 58.9, 13
8 2 -4, 1.431, 65.2, 19
1 3 -2, 1.375, 68.2, 17
9 1 -6, 1.337, 70.4, 7
7 3 -2, 1.270, 74.8, 8